Calculated PXRD pattern
Compound: LiMg3Au4
Radiation: Cu Kα, 1.54184 Å
Structure: a crystal structure in Alexandria, relaxed with GGA-PBE

Atomic structure:
```
data_LiMg3Au4
_chemical_formula_sum 'Li1 Mg3 Au4'
_cell_length_a 3.378
_cell_length_b 3.378
_cell_length_c 12.213
_cell_angle_alpha 90.00
_cell_angle_beta 90.00
_cell_angle_gamma 90.00
_symmetry_space_group_name_H-M 'P 4/m m m'
_symmetry_Int_Tables_number 123
_symmetry_space_group_name_Hall '-P 4 2'
loop_
_atom_site_label
_atom_site_type_symbol
_atom_site_fract_x
_atom_site_fract_y
_atom_site_fract_z
Li1 Li 0.000 0.000 0.000
Mg1 Mg 0.000 0.000 0.242
Mg2 Mg 0.000 0.000 0.500
Au1 Au 0.500 0.500 0.118
Au2 Au 0.500 0.500 0.371
```

Largest 6 diffraction maxima, by angle, 2θ = 10–90°:
2θ/deg	I (rel.)	index
26.4	97	1 0 0
29.2	37	0 0 4
37.7	59	1 1 0
39.8	100	1 0 4
48.4	38	1 1 4
69.4	39	2 1 4